Record 1
Diffraction record for La2Pr2N2Cl5. The PXRD pattern is calculated, not measured: it uses a structure optimized by DFT (GGA-PBE) and Cu Kα (λ = 1.5418 Å).
Kinematic intensities with the Lorentz-polarization factor, no thermal factor.

The 8 most intense peaks (5° ≤ 2θ ≤ 70°), most intense first:
2θ/deg, intensity
33.3, 100
28.5, 67
42.4, 66
12.2, 63
31.4, 62
37.1, 53
24.5, 52
28.7, 37

Cell and atoms:
```
La2Pr2N2Cl5
1.0
-1.8561 4.0128 8.5354
1.8561 -4.0128 8.5354
1.8561 4.0128 -8.5354
La Pr N Cl
2 2 2 5
direct
0.1789 0.1789 0.0000 La
0.8211 0.8211 0.0000 La
0.2070 0.5000 0.7070 Pr
0.7930 0.5000 0.2930 Pr
0.0411 0.0411 0.0000 N
0.9589 0.9589 0.0000 N
0.1233 0.3347 0.7885 Cl
0.4538 0.6653 0.7885 Cl
0.5000 0.0000 0.5000 Cl
0.5462 0.3347 0.2115 Cl
0.8767 0.6653 0.2115 Cl
```


Record 2
Diffraction record for Cu2H7C8SI4N2. The PXRD pattern is calculated, not measured: it uses a structure optimized by DFT (GGA-PBE) and Cu Kα (λ = 1.5418 Å).
Kinematic intensities with the Lorentz-polarization factor, no thermal factor.

The 8 most intense peaks (5° ≤ 2θ ≤ 70°), most intense first:
2θ/deg, intensity
9.0, 100
23.2, 42
26.6, 38
7.9, 28
26.1, 21
27.5, 19
40.7, 15
8.0, 15

Cell and atoms:
```
Cu2H7C8SI4N2
1.0
5.8789 0.0000 0.0000
-0.6996 11.8063 0.0000
-1.6013 -4.4261 11.2525
Cu H C S I N
4 14 16 2 8 4
direct
0.0165 0.1441 0.0716 Cu
0.4521 0.8547 0.9276 Cu
0.5479 0.1453 0.0724 Cu
0.9835 0.8559 0.9284 Cu
0.0078 0.2466 0.8231 H
0.1136 0.1888 0.4618 H
0.2496 0.5614 0.2963 H
0.2715 0.5564 0.1488 H
0.3718 0.3863 0.8938 H
0.4144 0.4539 0.2068 H
0.4749 0.3344 0.5488 H
0.5251 0.6656 0.4512 H
0.5856 0.5461 0.7932 H
0.6282 0.6137 0.1062 H
0.7285 0.4436 0.8512 H
0.7504 0.4386 0.7037 H
0.8864 0.8112 0.5382 H
0.9922 0.7534 0.1769 H
0.0296 0.2044 0.6348 C
0.1049 0.2612 0.7579 C
0.1650 0.2307 0.5578 C
0.1809 0.8778 0.4147 C
0.3051 0.3408 0.7996 C
0.3619 0.5461 0.2288 C
0.3636 0.3108 0.6043 C
0.4620 0.9922 0.5497 C
0.5380 0.0078 0.4503 C
0.6364 0.6892 0.3957 C
0.6381 0.4539 0.7712 C
0.6949 0.6592 0.2004 C
0.8191 0.1222 0.5853 C
0.8350 0.7693 0.4422 C
0.8951 0.7388 0.2421 C
0.9704 0.7956 0.3652 C
0.3425 0.9271 0.3244 S
0.6575 0.0729 0.6756 S
0.1943 0.5837 0.5745 I
0.2051 0.6834 0.9631 I
0.2195 0.0293 0.8832 I
0.3486 0.2264 0.2594 I
0.6514 0.7736 0.7406 I
0.7805 0.9707 0.1168 I
0.7949 0.3166 0.0369 I
0.8057 0.4163 0.4255 I
0.2641 0.9207 0.5304 N
0.4322 0.3646 0.7236 N
0.5678 0.6354 0.2764 N
0.7359 0.0793 0.4696 N
```


Record 3
Diffraction record for Rb2NiPt2S4. The PXRD pattern is calculated, not measured: it uses a structure optimized by DFT (GGA-PBE) and Cu Kα (λ = 1.5418 Å).
Kinematic intensities with the Lorentz-polarization factor, no thermal factor.

The 8 most intense peaks (5° ≤ 2θ ≤ 70°), most intense first:
2θ/deg, intensity
13.2, 100
21.9, 58
35.1, 48
32.4, 43
52.6, 29
38.3, 28
30.3, 27
31.9, 21

Cell and atoms:
```
Rb2NiPt2S4
1.0
0.0000 5.1026 6.7263
3.2829 0.0000 6.7263
3.2829 5.1026 0.0000
Rb Ni Pt S
2 1 2 4
direct
0.1556 0.1556 0.8444 Rb
0.8444 0.8444 0.1556 Rb
0.5000 0.5000 0.5000 Ni
0.0000 0.0000 0.5000 Pt
0.5000 0.5000 0.0000 Pt
0.2269 0.5554 0.4446 S
0.4446 0.7731 0.2269 S
0.5554 0.2269 0.7731 S
0.7731 0.4446 0.5554 S
```


Record 4
Diffraction record for YCuSnTe2Se. The PXRD pattern is calculated, not measured: it uses a structure optimized by DFT (GGA-PBE) and Cu Kα (λ = 1.5418 Å).
Kinematic intensities with the Lorentz-polarization factor, no thermal factor.

The 8 most intense peaks (5° ≤ 2θ ≤ 70°), most intense first:
2θ/deg, intensity
28.3, 100
29.6, 77
33.1, 70
33.8, 54
43.2, 37
41.4, 32
34.0, 24
30.1, 22

Cell and atoms:
```
YCuSnTe2Se
1.0
2.0947 -7.1907 0.0000
2.0947 7.1907 0.0000
0.0000 0.0000 10.5611
Y Cu Sn Te Se
2 2 2 4 2
direct
0.0000 0.0000 0.0000 Y
0.0000 0.0000 0.5000 Y
0.4752 0.5248 0.7500 Cu
0.5248 0.4752 0.2500 Cu
0.2558 0.7442 0.2500 Sn
0.7442 0.2558 0.7500 Sn
0.3510 0.6490 0.5643 Te
0.3510 0.6490 0.9357 Te
0.6490 0.3510 0.0643 Te
0.6490 0.3510 0.4357 Te
0.0749 0.9251 0.7500 Se
0.9251 0.0749 0.2500 Se
```


Record 5
Diffraction record for WSeS. The PXRD pattern is calculated, not measured: it uses a structure optimized by DFT (GGA-PBE) and Cu Kα (λ = 1.5418 Å).
Kinematic intensities with the Lorentz-polarization factor, no thermal factor.

The 8 most intense peaks (5° ≤ 2θ ≤ 70°), most intense first:
2θ/deg, intensity
8.0, 100
38.0, 9
43.1, 8
16.0, 7
34.2, 7
32.1, 7
40.4, 5
57.0, 4

Cell and atoms:
```
WSeS
1.0
1.6229 -11.0452 0.0000
1.6229 11.0452 0.0000
0.0000 0.0000 5.6052
W Se S
2 2 2
direct
0.2500 0.7500 0.5000 W
0.7500 0.2500 0.0000 W
0.1716 0.8284 0.1664 Se
0.8284 0.1716 0.6664 Se
0.3190 0.6810 0.1662 S
0.6810 0.3190 0.6662 S
```


Record 6
Diffraction record for NaPdPt2F11. The PXRD pattern is calculated, not measured: it uses a structure optimized by DFT (GGA-PBE) and Cu Kα (λ = 1.5418 Å).
Kinematic intensities with the Lorentz-polarization factor, no thermal factor.

The 8 most intense peaks (5° ≤ 2θ ≤ 70°), most intense first:
2θ/deg, intensity
24.1, 100
20.3, 79
27.9, 65
17.2, 55
26.4, 54
28.8, 37
18.4, 36
35.1, 33

Cell and atoms:
```
NaPdPt2F11
1.0
4.9822 0.0000 0.0000
0.7435 5.2842 0.0000
1.6285 1.5908 6.8323
Na Pd Pt F
1 1 2 11
direct
0.0000 0.0000 0.0000 Na
0.0000 0.0000 0.5000 Pd
0.4095 0.5288 0.2258 Pt
0.5905 0.4712 0.7742 Pt
0.0593 0.7026 0.3428 F
0.2115 0.2175 0.2552 F
0.2675 0.6173 0.9597 F
0.3010 0.8973 0.6350 F
0.3979 0.1626 0.8498 F
0.5000 0.5000 0.5000 F
0.6021 0.8374 0.1502 F
0.6990 0.1027 0.3650 F
0.7325 0.3827 0.0403 F
0.7885 0.7825 0.7448 F
0.9407 0.2974 0.6572 F
```


Record 7
Diffraction record for Na3ReSi5. The PXRD pattern is calculated, not measured: it uses a structure optimized by DFT (GGA-PBE) and Cu Kα (λ = 1.5418 Å).
Kinematic intensities with the Lorentz-polarization factor, no thermal factor.

The 8 most intense peaks (5° ≤ 2θ ≤ 70°), most intense first:
2θ/deg, intensity
15.6, 100
38.5, 70
26.8, 50
47.7, 45
27.1, 36
31.4, 23
35.0, 23
47.9, 14

Cell and atoms:
```
Na3ReSi5
1.0
6.5732 0.0000 0.0000
-3.2866 5.6926 0.0000
0.0000 0.0000 4.1100
Na Re Si
3 1 5
direct
0.0000 0.5600 0.0000 Na
0.4400 0.4400 0.0000 Na
0.5600 0.0000 0.0000 Na
0.0000 0.0000 0.0000 Re
0.0000 0.2378 0.5000 Si
0.2378 0.0000 0.5000 Si
0.3333 0.6667 0.5000 Si
0.6667 0.3333 0.5000 Si
0.7622 0.7622 0.5000 Si
```


Record 8
Diffraction record for Gd2TmIn3CuGe2. The PXRD pattern is calculated, not measured: it uses a structure optimized by DFT (GGA-PBE) and Cu Kα (λ = 1.5418 Å).
Kinematic intensities with the Lorentz-polarization factor, no thermal factor.

The 8 most intense peaks (5° ≤ 2θ ≤ 70°), most intense first:
2θ/deg, intensity
32.1, 100
35.1, 64
37.1, 32
42.6, 25
57.7, 18
37.2, 14
56.1, 14
67.5, 13

Cell and atoms:
```
Gd2TmIn3CuGe2
1.0
4.2454 0.0000 0.0000
0.0000 6.3913 3.7059
0.0000 -6.3913 3.7059
Gd Tm In Cu Ge
2 1 3 1 2
direct
0.0000 0.2010 0.7990 Gd
0.0000 0.7990 0.2010 Gd
0.0000 0.6049 0.6049 Tm
0.5000 0.2022 0.4460 In
0.5000 0.4460 0.2022 In
0.5000 0.9605 0.9605 In
0.0000 0.2088 0.2088 Cu
0.5000 0.5362 0.8647 Ge
0.5000 0.8647 0.5362 Ge
```


Record 9
Diffraction record for NdYB4. The PXRD pattern is calculated, not measured: it uses a structure optimized by DFT (GGA-PBE) and Cu Kα (λ = 1.5418 Å).
Kinematic intensities with the Lorentz-polarization factor, no thermal factor.

The 8 most intense peaks (5° ≤ 2θ ≤ 70°), most intense first:
2θ/deg, intensity
38.6, 100
31.1, 68
22.2, 44
56.0, 26
55.4, 19
60.4, 18
69.5, 17
11.0, 12

Cell and atoms:
```
NdYB4
1.0
3.3171 0.0000 0.0000
-1.6586 2.8727 0.0000
0.0000 0.0000 8.0088
Nd Y B
1 1 4
direct
0.0000 0.0000 0.0000 Nd
0.0000 0.0000 0.5000 Y
0.3333 0.6667 0.2609 B
0.3333 0.6667 0.7391 B
0.6667 0.3333 0.2609 B
0.6667 0.3333 0.7391 B
```


Record 10
Diffraction record for HfAlNi. The PXRD pattern is calculated, not measured: it uses a structure optimized by DFT (GGA-PBE) and Cu Kα (λ = 1.5418 Å).
Kinematic intensities with the Lorentz-polarization factor, no thermal factor.

The 8 most intense peaks (5° ≤ 2θ ≤ 70°), most intense first:
2θ/deg, intensity
36.5, 100
39.9, 90
26.8, 42
57.7, 37
63.5, 36
31.0, 35
41.4, 31
24.4, 31

Cell and atoms:
```
HfAlNi
1.0
6.6560 0.0000 0.0000
-3.3280 5.7643 0.0000
0.0000 0.0000 3.6476
Hf Al Ni
3 3 3
direct
0.0000 0.5858 0.0000 Hf
0.4142 0.4142 0.0000 Hf
0.5858 0.0000 0.0000 Hf
0.0000 0.2466 0.5000 Al
0.2466 0.0000 0.5000 Al
0.7534 0.7534 0.5000 Al
0.0000 0.0000 0.0000 Ni
0.3333 0.6667 0.5000 Ni
0.6667 0.3333 0.5000 Ni
```


What did the tenth record say?
Diffraction record for HfAlNi. The PXRD pattern is calculated, not measured: it uses a structure optimized by DFT (GGA-PBE) and Cu Kα (λ = 1.5418 Å).
Kinematic intensities with the Lorentz-polarization factor, no thermal factor.

The 8 most intense peaks (5° ≤ 2θ ≤ 70°), most intense first:
2θ/deg, intensity
36.5, 100
39.9, 90
26.8, 42
57.7, 37
63.5, 36
31.0, 35
41.4, 31
24.4, 31

Cell and atoms:
```
HfAlNi
1.0
6.6560 0.0000 0.0000
-3.3280 5.7643 0.0000
0.0000 0.0000 3.6476
Hf Al Ni
3 3 3
direct
0.0000 0.5858 0.0000 Hf
0.4142 0.4142 0.0000 Hf
0.5858 0.0000 0.0000 Hf
0.0000 0.2466 0.5000 Al
0.2466 0.0000 0.5000 Al
0.7534 0.7534 0.5000 Al
0.0000 0.0000 0.0000 Ni
0.3333 0.6667 0.5000 Ni
0.6667 0.3333 0.5000 Ni
```